The following is a theoretical X-ray powder pattern of MnMo. It was derived from a PBE-relaxed structure, using a wavelength of 1.5418 Å.

The 8 most intense peaks (10 to 80 degrees two-theta), in order of falling intensity:
| two_theta | Rel. int. | h k l |
| --- | --- | --- |
| 41.6 | 1000 | 1 1 2 |
| 45.1 | 223 | 0 2 0 |
| 36.2 | 169 | 1 1 1 |
| 34.6 | 144 | 0 0 3 |
| 53.1 | 133 | 2 0 0 |
| 70.5 | 121 | 1 1 5 |
| 46.8 | 116 | 0 0 4 |
| 72.2 | 103 | 2 2 0 |

Structural model:
a b c (Å): 3.4478 4.0228 7.7689
angles (deg): 90.00 90.00 90.00
Space group Cmme (No. 67)
Asymmetric unit:
Mn (0.0000, 0.2500, 0.0916) [4 per cell]
Mo (0.0000, 0.2500, 0.6494) [4 per cell]